# 1
Computed powder XRD pattern of CrBr2Cl for Cu Kα, 1.54184 Å, from a DFT-relaxed cell (GGA-PBE, Alexandria).
Lines closer than 0.1° are merged.

Cell and atoms:
a = 3.6396 Å, b = 4.7465 Å, c = 7.4439 Å
α = 88.32°, β = 75.91°, γ = 90.00°
Sites, in units of the cell vectors:
Cr: 0.0000 0.0000 0.0000
Br: 0.3827 0.9888 0.2415
Br: 0.6233 0.0110 0.7584
Cl: 0.0155 0.5000 0.9990

The 6 most intense peaks (2θ from 10° to 90°), in order of falling intensity:
d [Å]	2theta	I/Imax
4.744	18.70	1000
7.217	12.26	851
2.903	30.80	681
2.262	39.86	408
1.820	50.11	322
2.372	37.93	311

=====

# 2
Computed powder XRD pattern of Rb2CrBrCl3 for Cu Kα, 1.54184 Å, from a DFT-relaxed cell (GGA-PBE, Alexandria).
Lines closer than 0.1° are merged.

Cell and atoms:
a = 7.2709 Å, b = 8.9959 Å, c = 8.9959 Å
α = 47.67°, β = 90.00°, γ = 90.00°
Sites, in units of the cell vectors:
Rb: 0.0000 0.0000 0.0000
Rb: 0.0000 0.2747 0.2747
Rb: 0.5000 0.5000 0.5000
Rb: 0.5000 0.7747 0.7747
Cr: 0.0000 0.6428 0.6428
Cr: 0.5000 0.1428 0.1428
Br: 0.0000 0.4838 0.4838
Br: 0.5000 0.9838 0.9838
Cl: 0.0000 0.7904 0.7904
Cl: 0.2358 0.8771 0.4046
Cl: 0.2642 0.3771 0.9046
Cl: 0.5000 0.2904 0.2904
Cl: 0.7358 0.9046 0.3771
Cl: 0.7642 0.4046 0.8771

The 6 most intense peaks (2θ from 10° to 90°), in order of falling intensity:
d [Å]	2theta	I/Imax
3.635	24.49	1000
2.724	32.88	919
2.571	34.90	897
1.876	48.54	356
2.743	32.65	300
1.818	50.19	295

=====

# 3
Computed powder XRD pattern of Rb2CrBr2Cl2 for Cu Kα, 1.54184 Å, from a DFT-relaxed cell (GGA-PBE, Alexandria).
Lines closer than 0.1° are merged.

Cell and atoms:
a = 9.1780 Å, b = 9.1780 Å, c = 7.2887 Å
α = 90.00°, β = 90.00°, γ = 46.82°
Sites, in units of the cell vectors:
Rb: 0.1352 0.1352 0.0000
Rb: 0.3648 0.3648 0.5000
Rb: 0.6352 0.6352 0.5000
Rb: 0.8648 0.8648 0.0000
Cr: 0.0000 0.0000 0.5000
Cr: 0.5000 0.5000 0.0000
Br: 0.1547 0.1547 0.5000
Br: 0.3453 0.3453 0.0000
Br: 0.6547 0.6547 0.0000
Br: 0.8453 0.8453 0.5000
Cl: 0.2349 0.7651 0.7353
Cl: 0.2651 0.7349 0.2353
Cl: 0.7349 0.2651 0.7647
Cl: 0.7651 0.2349 0.2647

The 6 most intense peaks (2θ from 10° to 90°), in order of falling intensity:
d [Å]	2theta	I/Imax
3.645	24.42	1000
2.756	32.48	868
2.578	34.80	820
1.630	56.44	346
1.823	50.04	334
1.899	47.91	333

=====

# 4
Computed powder XRD pattern of Tl2CrBr2Cl2 for Cu Kα, 1.54184 Å, from a DFT-relaxed cell (GGA-PBE, Alexandria).
Lines closer than 0.1° are merged.

Cell and atoms:
a = 8.4626 Å, b = 8.4626 Å, c = 8.4626 Å
α = 153.38°, β = 131.84°, γ = 55.87°
Sites, in units of the cell vectors:
Tl: 0.1528 0.1528 0.0000
Tl: 0.8472 0.8472 0.0000
Cr: 0.5000 0.0000 0.5000
Br: 0.3230 0.8230 0.5000
Br: 0.6770 0.1770 0.5000
Cl: 0.2634 0.5000 0.7634
Cl: 0.7366 0.5000 0.2366

The 6 most intense peaks (2θ from 10° to 90°), in order of falling intensity:
d [Å]	2theta	I/Imax
3.070	29.09	1000
2.547	35.24	684
3.453	25.80	627
2.294	39.27	506
4.041	21.99	493
3.771	23.59	415

=====

# 5
Computed powder XRD pattern of CsBr2Cl4 for Cu Kα, 1.54184 Å, from a DFT-relaxed cell (GGA-PBE, Alexandria).
Lines closer than 0.1° are merged.

Cell and atoms:
a = 9.4047 Å, b = 9.4047 Å, c = 9.4047 Å
α = 97.64°, β = 97.64°, γ = 137.23°
Sites, in units of the cell vectors:
Cs: 0.0000 0.0000 0.0000
Cs: 0.7500 0.2500 0.5000
Br: 0.1489 0.6250 0.0239
Br: 0.3750 0.3989 0.5239
Br: 0.6011 0.1250 0.9761
Br: 0.8750 0.8511 0.4761
Cl: 0.0661 0.8484 0.6646
Cl: 0.1514 0.4338 0.8354
Cl: 0.1516 0.8162 0.2176
Cl: 0.1838 0.4014 0.3354
Cl: 0.5662 0.4016 0.7176
Cl: 0.5984 0.3161 0.1646
Cl: 0.5986 0.9339 0.7824
Cl: 0.6839 0.8486 0.2824

The 6 most intense peaks (2θ from 10° to 90°), in order of falling intensity:
d [Å]	2theta	I/Imax
3.193	27.94	1000
3.096	28.84	864
4.309	20.61	676
4.379	20.28	567
3.537	25.18	551
2.580	34.77	527

=====

# 6
Computed powder XRD pattern of CsBr4Cl for Cu Kα, 1.54184 Å, from a DFT-relaxed cell (GGA-PBE, Alexandria).
Lines closer than 0.1° are merged.

Cell and atoms:
a = 9.8284 Å, b = 9.8284 Å, c = 9.8284 Å
α = 132.01°, β = 132.01°, γ = 70.21°
Sites, in units of the cell vectors:
Cs: 0.3750 0.6250 0.7500
Cs: 0.6250 0.3750 0.2500
Br: 0.1517 0.2481 0.5964
Br: 0.1517 0.5553 0.9036
Br: 0.2481 0.1517 0.0964
Br: 0.4447 0.8483 0.5964
Br: 0.5553 0.1517 0.4036
Br: 0.7519 0.8483 0.9036
Br: 0.8483 0.4447 0.0964
Br: 0.8483 0.7519 0.4036
Cl: 0.1250 0.8750 0.2500
Cl: 0.8750 0.1250 0.7500

The 6 most intense peaks (2θ from 10° to 90°), in order of falling intensity:
d [Å]	2theta	I/Imax
4.020	22.11	1000
3.490	25.53	947
3.997	22.24	818
2.978	30.01	727
2.411	37.29	576
2.834	31.57	562

=====

# 7
Computed powder XRD pattern of Cs6BrCl4 for Cu Kα, 1.54184 Å, from a DFT-relaxed cell (GGA-PBE, Alexandria).
Lines closer than 0.1° are merged.

Cell and atoms:
a = 8.7906 Å, b = 8.7906 Å, c = 26.3043 Å
α = 90.00°, β = 90.00°, γ = 146.81°
Sites, in units of the cell vectors:
Cs: 0.0000 0.0000 0.0000
Cs: 0.0000 0.0000 0.5000
Cs: 0.1917 0.8083 0.7500
Cs: 0.2745 0.7255 0.0789
Cs: 0.2745 0.7255 0.4211
Cs: 0.4652 0.5348 0.6627
Cs: 0.4652 0.5348 0.8373
Cs: 0.5348 0.4652 0.1627
Cs: 0.5348 0.4652 0.3373
Cs: 0.7255 0.2745 0.5789
Cs: 0.7255 0.2745 0.9211
Cs: 0.8083 0.1917 0.2500
Br: 0.1286 0.8714 0.2500
Br: 0.8714 0.1286 0.7500
Cl: 0.0955 0.9045 0.6185
Cl: 0.0955 0.9045 0.8815
Cl: 0.3640 0.6360 0.5433
Cl: 0.3640 0.6360 0.9567
Cl: 0.6360 0.3640 0.0433
Cl: 0.6360 0.3640 0.4567
Cl: 0.9045 0.0955 0.1185
Cl: 0.9045 0.0955 0.3815

The 6 most intense peaks (2θ from 10° to 90°), in order of falling intensity:
d [Å]	2theta	I/Imax
3.887	22.88	1000
3.600	24.73	645
3.441	25.89	488
4.217	21.07	283
2.109	42.87	274
2.511	35.76	229

=====

# 8
Computed powder XRD pattern of CsBr3Cl for Cu Kα, 1.54184 Å, from a DFT-relaxed cell (GGA-PBE, Alexandria).
Lines closer than 0.1° are merged.

Cell and atoms:
a = 8.2003 Å, b = 8.2003 Å, c = 8.2003 Å
α = 121.12°, β = 121.12°, γ = 88.07°
Sites, in units of the cell vectors:
Cs: 0.2500 0.7500 0.5000
Cs: 0.7500 0.2500 0.5000
Br: 0.2092 0.2092 0.0000
Br: 0.2790 0.2790 0.5580
Br: 0.2790 0.7210 0.0000
Br: 0.7210 0.2790 0.0000
Br: 0.7210 0.7210 0.4420
Br: 0.7908 0.7908 0.0000
Cl: 0.0000 0.0000 0.0000
Cl: 0.5000 0.5000 0.0000

The 6 most intense peaks (2θ from 10° to 90°), in order of falling intensity:
d [Å]	2theta	I/Imax
3.327	26.79	1000
2.850	31.39	500
2.049	44.20	303
2.948	30.32	249
1.724	53.14	229
4.098	21.69	171

=====

# 9
Computed powder XRD pattern of CsBrCl for Cu Kα, 1.54184 Å, from a DFT-relaxed cell (GGA-PBE, Alexandria).
Lines closer than 0.1° are merged.

Cell and atoms:
a = 6.4001 Å, b = 6.4001 Å, c = 6.4001 Å
α = 134.85°, β = 134.85°, γ = 65.76°
Sites, in units of the cell vectors:
Cs: 0.0000 0.0000 0.0000
Br: 0.3580 0.3580 0.0000
Cl: 0.6129 0.6129 0.0000

The 6 most intense peaks (2θ from 10° to 90°), in order of falling intensity:
d [Å]	2theta	I/Imax
3.474	25.64	1000
2.895	30.89	981
1.873	48.60	532
2.457	36.58	380
5.375	16.49	360
2.918	30.64	320

=====

# 10
Computed powder XRD pattern of Cs4Br3Cl for Cu Kα, 1.54184 Å, from a DFT-relaxed cell (GGA-PBE, Alexandria).
Lines closer than 0.1° are merged.

Cell and atoms:
a = 8.9640 Å, b = 8.9640 Å, c = 5.1605 Å
α = 90.00°, β = 90.00°, γ = 109.31°
Sites, in units of the cell vectors:
Cs: 0.2412 0.2412 0.5000
Cs: 0.2458 0.7542 0.0000
Cs: 0.7542 0.2458 0.0000
Cs: 0.7588 0.7588 0.5000
Br: 0.0000 0.5000 0.5000
Br: 0.5000 0.0000 0.5000
Br: 0.5000 0.5000 0.0000
Cl: 0.0000 0.0000 0.0000

The 6 most intense peaks (2θ from 10° to 90°), in order of falling intensity:
d [Å]	2theta	I/Imax
3.657	24.34	1000
2.587	34.67	650
1.635	56.25	249
4.223	21.04	157
2.108	42.90	142
2.115	42.75	141

=====

# 11
Computed powder XRD pattern of Cs2CuBr3Cl for Cu Kα, 1.54184 Å, from a DFT-relaxed cell (GGA-PBE, Alexandria).
Lines closer than 0.1° are merged.

Cell and atoms:
a = 9.4210 Å, b = 9.4210 Å, c = 9.4210 Å
α = 147.45°, β = 146.34°, γ = 47.53°
Sites, in units of the cell vectors:
Cs: 0.1371 0.1371 0.0000
Cs: 0.8629 0.8629 0.0000
Cu: 0.5000 0.5000 0.0000
Br: 0.3563 0.3563 0.0000
Br: 0.5000 0.0000 0.5000
Br: 0.6437 0.6437 0.0000
Cl: 0.0000 0.5000 0.5000

The 6 most intense peaks (2θ from 10° to 90°), in order of falling intensity:
d [Å]	2theta	I/Imax
2.848	31.41	1000
3.795	23.44	752
2.728	32.83	423
2.640	33.95	385
1.897	47.95	282
8.622	10.26	228

=====

# 12
Computed powder XRD pattern of Cs6Br3ClF2 for Cu Kα, 1.54184 Å, from a DFT-relaxed cell (GGA-PBE, Alexandria).
Lines closer than 0.1° are merged.

Cell and atoms:
a = 8.3618 Å, b = 8.3618 Å, c = 8.6025 Å
α = 99.44°, β = 99.44°, γ = 119.79°
Sites, in units of the cell vectors:
Cs: 0.0718 0.4291 0.7834
Cs: 0.2138 0.2138 0.2111
Cs: 0.4291 0.0718 0.7834
Cs: 0.5709 0.9282 0.2166
Cs: 0.7862 0.7862 0.7889
Cs: 0.9282 0.5709 0.2166
Br: 0.0000 0.0000 0.5000
Br: 0.3423 0.6577 0.5000
Br: 0.6577 0.3423 0.5000
Cl: 0.5000 0.5000 0.0000
F: 0.1689 0.8311 0.0000
F: 0.8311 0.1689 0.0000

The 6 most intense peaks (2θ from 10° to 90°), in order of falling intensity:
d [Å]	2theta	I/Imax
3.451	25.82	1000
2.464	36.46	326
2.419	37.17	250
3.959	22.46	232
1.979	45.84	194
3.176	28.09	142

=====

# 13
Computed powder XRD pattern of Cs2OsBrClF4 for Cu Kα, 1.54184 Å, from a DFT-relaxed cell (GGA-PBE, Alexandria).
Lines closer than 0.1° are merged.

Cell and atoms:
a = 6.7905 Å, b = 6.7905 Å, c = 6.7905 Å
α = 115.57°, β = 115.57°, γ = 97.87°
Sites, in units of the cell vectors:
Cs: 0.0000 0.5000 0.5000
Cs: 0.5000 0.0000 0.5000
Os: 0.2670 0.2670 0.0000
Br: 0.5476 0.5476 0.0000
Cl: 0.0029 0.0029 0.0000
F: 0.0733 0.0733 0.6140
F: 0.0733 0.4593 0.0000
F: 0.4593 0.0733 0.0000
F: 0.4593 0.4593 0.3860

The 6 most intense peaks (2θ from 10° to 90°), in order of falling intensity:
d [Å]	2theta	I/Imax
3.620	24.59	1000
5.622	15.76	889
3.363	26.50	782
2.560	35.05	582
2.037	44.48	325
2.751	32.55	282

=====

# 14
Computed powder XRD pattern of Cs2FeBrCl6 for Cu Kα, 1.54184 Å, from a DFT-relaxed cell (GGA-PBE, Alexandria).
Lines closer than 0.1° are merged.

Cell and atoms:
a = 7.6610 Å, b = 7.6610 Å, c = 7.6610 Å
α = 117.47°, β = 117.47°, γ = 94.45°
Sites, in units of the cell vectors:
Cs: 0.2500 0.7500 0.5000
Cs: 0.7500 0.2500 0.5000
Fe: 0.0000 0.0000 0.0000
Br: 0.5000 0.5000 0.0000
Cl: 0.1982 0.1982 0.3963
Cl: 0.1982 0.8018 0.0000
Cl: 0.2610 0.2610 0.0000
Cl: 0.7390 0.7390 0.0000
Cl: 0.8018 0.1982 0.0000
Cl: 0.8018 0.8018 0.6037

The 6 most intense peaks (2θ from 10° to 90°), in order of falling intensity:
d [Å]	2theta	I/Imax
3.819	23.29	1000
2.812	31.83	611
3.976	22.36	601
3.159	28.25	497
1.909	47.62	366
2.264	39.81	356